[1]
The following is a theoretical powder XRD pattern of K2OsO3. It was derived from a crystal structure in Alexandria, relaxed with GGA-PBE, using CuKα.
Intensities are scaled so that the largest is 100.

Peak list (12 most intense, 10 to 80 degrees two-theta, in order of rising 2θ)
15.83°, rel. 99; 17.19°, rel. 76; 18.01°, rel. 57; 22.47°, rel. 48; 25.95°, rel. 90; 26.71°, rel. 46; 27.21°, rel. 84; 28.48°, rel. 63; 29.59°, rel. 100; 30.23°, rel. 35; 36.52°, rel. 42; 39.33°, rel. 29

Cell and atoms:
Unit cell a=6.884 b=6.884 c=7.969 alpha=119.62 beta=119.62 gamma=59.21
Atoms (fractional coordinates):
K: 0.126 0.874 0.500
K: 0.210 0.468 0.949
K: 0.468 0.210 0.449
K: 0.874 0.126 0.000
Os: 0.552 0.784 0.972
Os: 0.784 0.552 0.472
O: 0.049 0.286 0.465
O: 0.286 0.049 0.965
O: 0.494 0.526 0.352
O: 0.526 0.494 0.852
O: 0.813 0.842 0.598
O: 0.842 0.813 0.098



[2]
The following is a theoretical powder XRD pattern of CaPm3S4. It was derived from a crystal structure in Alexandria, relaxed with GGA-PBE, using CuKα.
Intensities are scaled so that the largest is 100.

Peak list (12 most intense, 10 to 80 degrees two-theta, in order of rising 2θ)
13.41°, rel. 13; 27.00°, rel. 31; 27.20°, rel. 30; 31.40°, rel. 100; 44.73°, rel. 12; 45.00°, rel. 48; 45.23°, rel. 12; 53.45°, rel. 15; 55.67°, rel. 12; 56.11°, rel. 12; 65.52°, rel. 11; 74.47°, rel. 21

Cell and atoms:
Unit cell a=6.990 b=6.990 c=4.009 alpha=90.00 beta=90.00 gamma=109.13
Atoms (fractional coordinates):
Ca: 0.000 0.000 0.000
Pm: 0.000 0.500 0.500
Pm: 0.500 0.000 0.500
Pm: 0.500 0.500 0.000
S: 0.246 0.246 0.500
S: 0.247 0.753 0.000
S: 0.753 0.247 0.000
S: 0.754 0.754 0.500